No. 1
Structure and computed powder diffractogram of Nd2Ho2CI2Br2Cl (the PBE geometry in OQMD; copper Kα).
No peak broadening, texture or thermal motion is included.

Structure:
```
Nd2Ho2CI2Br2Cl
1.0
9.3350 -1.9345 0.0000
9.3350 1.9345 0.0000
-1.6844 0.0000 8.0002
Nd Ho C I Br Cl
2 2 1 2 2 1
Cartesian
2.4450 0.0000 0.5856
14.5407 0.0000 7.4146
8.9641 0.0000 1.6163
8.0216 0.0000 6.3839
0.0000 0.0000 0.0000
5.8302 0.0000 1.6555
11.1555 0.0000 6.3447
5.4088 0.0000 5.2038
11.5769 0.0000 2.7964
-0.8422 0.0000 4.0001
```

Top 6 peaks for 15° ≤ 2θ ≤ 90°, most intense first:
2theta  I/Imax
31.8  100
29.3  52
43.6  30
33.7  26
44.1  24
23.5  21



No. 2
Structure and computed powder diffractogram of NaAgAsO4 (the PBE geometry in OQMD; copper Kα).
No peak broadening, texture or thermal motion is included.

Structure:
```
NaAgAsO4
1.0
2.5862 1.4931 9.0314
-2.5862 1.4931 9.0314
0.0000 -2.9862 9.0314
Na Ag As O
2 2 2 8
Cartesian
0.0000 0.0000 5.8283
0.0000 0.0000 21.2660
0.0000 0.0000 9.1620
0.0000 0.0000 17.9323
0.0000 0.0000 2.0113
0.0000 0.0000 25.0830
-0.9005 -1.6102 10.4945
0.0000 0.0000 3.6872
-1.8447 -0.0252 16.5998
-0.9442 1.5850 10.4945
0.9442 -1.5850 16.5998
1.8447 0.0252 10.4945
0.0000 0.0000 23.4070
0.9005 1.6102 16.5998
```

Top 6 peaks for 15° ≤ 2θ ≤ 90°, most intense first:
2theta  I/Imax
34.7  100
30.5  85
23.8  48
25.8  36
36.1  35
53.9  29



No. 3
Structure and computed powder diffractogram of Cs2Cu3SnF12 (the PBE geometry in OQMD; copper Kα).
No peak broadening, texture or thermal motion is included.

Structure:
```
Cs2Cu3SnF12
1.0
7.6826 0.0000 0.0000
0.0000 6.8896 0.0000
-6.4718 0.0000 10.1541
Cs Cu Sn F
4 6 2 24
Cartesian
-1.3362 0.0509 3.8475
-4.5721 3.3939 8.9245
5.7829 3.4956 1.2296
2.5470 6.8387 6.3066
-1.0936 1.4321 7.5090
2.1423 2.0127 2.4320
3.8413 0.0000 0.0000
0.6054 3.4448 5.0770
-0.9315 4.8769 7.7221
2.3044 5.4575 2.6451
0.0000 0.0000 0.0000
-3.2359 3.4448 5.0770
0.5881 1.7087 0.8240
-2.6478 1.7361 5.9011
-1.4518 3.9343 4.3567
-4.6877 6.4001 9.4337
-2.9466 4.4902 6.7375
0.2893 5.8441 1.6605
-2.6373 1.0819 8.5854
0.5986 2.3628 3.5083
2.1684 3.7833 1.7558
-1.0675 6.5510 6.8329
1.0986 4.9654 4.0589
-2.1373 5.3690 9.1359
3.3482 1.5206 1.0182
0.1123 1.9242 6.0952
2.2783 0.3386 3.3212
-0.9576 3.1062 8.3982
0.6122 4.5267 6.6457
3.8481 5.8076 1.5687
0.9215 1.0454 8.4936
4.1574 2.3994 3.4166
5.8985 0.4895 0.7204
2.6626 2.9553 5.7974
3.8587 5.1535 4.2530
0.6227 5.1809 9.3300
```

Top 6 peaks for 15° ≤ 2θ ≤ 90°, most intense first:
2theta  I/Imax
29.4  100
27.3  98
27.5  60
29.0  51
30.2  41
47.7  41



No. 4
Structure and computed powder diffractogram of TbTcNO (the PBE geometry in OQMD; copper Kα).
No peak broadening, texture or thermal motion is included.

Structure:
```
TbTcNO
1.0
3.8143 0.0000 0.0000
0.0000 5.3321 0.0000
0.0000 0.0000 5.0255
Tb Tc N O
2 2 2 2
Cartesian
0.0000 1.1338 0.0000
0.0000 4.1983 2.5127
1.9072 1.7507 2.4924
1.9072 3.5814 5.0051
0.0000 1.7519 2.4834
0.0000 3.5802 4.9961
1.9072 0.1528 3.9649
1.9072 5.1793 1.4522
```

Top 6 peaks for 15° ≤ 2θ ≤ 90°, most intense first:
2theta  I/Imax
34.0  100
35.7  27
38.2  19
33.6  17
63.1  17
47.7  15



No. 5
Structure and computed powder diffractogram of ZrIn2Ni (the PBE geometry in OQMD; copper Kα).
No peak broadening, texture or thermal motion is included.

Structure:
```
ZrIn2Ni
1.0
0.0000 3.3849 3.3849
3.3849 0.0000 3.3849
3.3849 3.3849 0.0000
Zr In Ni
1 2 1
Cartesian
0.0000 0.0000 0.0000
1.6924 1.6924 1.6924
3.3849 3.3849 3.3849
5.0773 5.0773 5.0773
```

Top 6 peaks for 15° ≤ 2θ ≤ 90°, most intense first:
2theta  I/Imax
37.6  100
67.8  33
54.2  17
80.2  10
22.8  5
44.4  3



No. 6
Structure and computed powder diffractogram of Er3SbS2 (the PBE geometry in OQMD; copper Kα).
No peak broadening, texture or thermal motion is included.

Structure:
```
Er3SbS2
1.0
4.0270 0.0000 0.0000
-2.0135 3.4875 0.0000
0.0000 0.0000 9.8480
Er Sb S
3 1 2
Cartesian
0.0000 0.0000 0.0000
0.0000 2.3250 6.8361
2.0135 1.1625 3.0119
0.0000 0.0000 4.9240
0.0000 2.3250 1.5134
2.0135 1.1625 8.3346
```

Top 6 peaks for 15° ≤ 2θ ≤ 90°, most intense first:
2theta  I/Imax
31.4  100
45.0  65
27.1  41
74.5  26
56.0  23
53.4  17



No. 7
Structure and computed powder diffractogram of SmTaZn (the PBE geometry in OQMD; copper Kα).
No peak broadening, texture or thermal motion is included.

Structure:
```
SmTaZn
1.0
0.0000 3.2733 3.2733
3.2733 0.0000 3.2733
3.2733 3.2733 0.0000
Sm Ta Zn
1 1 1
Cartesian
0.0000 0.0000 0.0000
3.2733 3.2733 3.2733
1.6366 1.6366 1.6366
```

Top 6 peaks for 15° ≤ 2θ ≤ 90°, most intense first:
2theta  I/Imax
38.9  100
27.2  53
70.5  35
63.6  20
56.2  17
48.1  15



No. 8
Structure and computed powder diffractogram of Zr6NiCl15 (the PBE geometry in OQMD; copper Kα).
No peak broadening, texture or thermal motion is included.

Structure:
```
Zr6NiCl15
1.0
-5.1346 5.1346 5.1346
5.1346 -5.1346 5.1346
5.1346 5.1346 -5.1346
Zr Ni Cl
6 1 15
Cartesian
2.4954 0.0000 0.0000
7.7738 0.0000 0.0000
0.0000 2.4954 0.0000
0.0000 0.0000 2.4954
0.0000 7.7738 0.0000
0.0000 0.0000 7.7738
0.0000 0.0000 0.0000
5.1346 2.5817 -2.5817
5.1346 0.0000 0.0000
5.1346 -2.5817 2.5817
2.5817 5.1346 -2.5817
2.5529 2.5529 0.0000
2.5529 0.0000 2.5529
2.5817 -2.5817 5.1346
0.0000 2.5529 2.5529
0.0000 5.1346 0.0000
0.0000 0.0000 5.1346
5.1346 2.5817 2.5817
-2.5817 5.1346 2.5817
-2.5817 2.5817 5.1346
2.5817 5.1346 2.5817
2.5817 2.5817 5.1346
```

Top 6 peaks for 15° ≤ 2θ ≤ 90°, most intense first:
2theta  I/Imax
34.9  100
50.3  65
84.4  27
21.2  23
27.5  22
45.0  22



No. 9
Structure and computed powder diffractogram of TeMoS (the PBE geometry in OQMD; copper Kα).
No peak broadening, texture or thermal motion is included.

Structure:
```
TeMoS
1.0
3.3667 0.0000 0.0000
-1.6833 2.9156 0.0000
0.0000 0.0000 14.1782
Te Mo S
2 2 2
Cartesian
0.0000 1.9437 1.8404
1.6833 0.9719 12.3378
0.0000 1.9437 10.4302
1.6833 0.9719 3.7480
0.0000 1.9437 5.2236
1.6833 0.9719 8.9546
```

Top 6 peaks for 15° ≤ 2θ ≤ 90°, most intense first:
2theta  I/Imax
36.2  100
44.6  71
33.2  51
30.7  45
54.5  33
78.3  18